Entry 1:
For Ba8HPt2, a crystal structure in Alexandria, relaxed with PBE gives the theoretical PXRD pattern in this record (copper Kα).

Principal peaks in the range 2θ from 5° to 70°, by intensity:
two_theta	I (rel.)	(hkl)
21.2	100	2 0 0
46.3	96	2 2 2
37.1	91	2 2 0
25.0	86	0 2 1
26.7	77	0 0 2
34.3	59	2 0 2
17.0	56	1 0 1
31.2	50	2 1 1

Structure:
```
data_Ba8HPt2
_chemical_formula_sum 'Ba8 H1 Pt2'
_cell_length_a 9.6981
_cell_length_b 9.6981
_cell_length_c 6.6775
_cell_angle_alpha 90.00
_cell_angle_beta 90.00
_cell_angle_gamma 120.00
_space_group_name_H-M_alt 'P -3 m 1'
_space_group_IT_number 164
_space_group_name_Hall '-P 3 2"'
loop_
_atom_site_label
_atom_site_type_symbol
_atom_site_fract_x
_atom_site_fract_y
_atom_site_fract_z
Ba1 Ba 0.1543 0.3087 0.2573
Ba2 Ba 0.3333 0.6667 0.7588
H1 H 0.0000 0.0000 0.5000
Pt1 Pt 0.3333 0.6667 0.2562
```

Entry 2:
For BaHPt, a crystal structure in Alexandria, relaxed with PBE gives the theoretical PXRD pattern in this record (copper Kα).

Principal peaks in the range 2θ from 5° to 70°, by intensity:
two_theta	I (rel.)	(hkl)
27.4	100	2 2 0
35.2	49	2 2 -2
35.1	49	2 2 1
35.6	40	0 4 0
54.0	38	4 4 -1
35.7	36	0 2 2
15.3	35	0 0 1
39.3	32	4 0 -1

Structure:
```
data_BaHPt
_chemical_formula_sum 'Ba8 H8 Pt8'
_cell_length_a 9.1768
_cell_length_b 10.0900
_cell_length_c 6.2288
_cell_angle_alpha 90.00
_cell_angle_beta 111.30
_cell_angle_gamma 90.00
_space_group_name_H-M_alt 'C 1 m 1'
_space_group_IT_number 8
loop_
_space_group_symop_operation_xyz
'x,y,z'
'x,-y,z'
'x+1/2,y+1/2,z'
'x+1/2,-y+1/2,z'
loop_
_atom_site_label
_atom_site_type_symbol
_atom_site_fract_x
_atom_site_fract_y
_atom_site_fract_z
Ba1 Ba 0.0000 0.0000 0.0000
Ba2 Ba 0.0031 0.5000 0.0282
Ba3 Ba 0.1412 0.2496 0.5609
H1 H 0.0579 0.5000 0.5200
H2 H 0.1808 0.0000 0.4540
H3 H 0.2420 0.1408 0.9753
Pt1 Pt 0.2930 0.2655 0.1634
Pt2 Pt 0.3511 0.5000 0.3847
Pt3 Pt 0.3677 0.0000 0.4776
```

Entry 3:
For BaSrH8Pt2, a crystal structure in Alexandria, relaxed with PBE gives the theoretical PXRD pattern in this record (copper Kα).

Principal peaks in the range 2θ from 5° to 70°, by intensity:
two_theta	I (rel.)	(hkl)
26.2	100	1 0 4
34.4	49	0 1 8
40.1	33	1 1 0
56.8	23	1 1 12
48.5	19	0 2 4
64.7	16	2 1 4
53.8	13	2 0 8
69.2	13	1 2 8

Structure:
```
data_BaSrH8Pt2
_chemical_formula_sum 'Ba3 Sr3 H24 Pt6'
_cell_length_a 4.4964
_cell_length_b 4.4964
_cell_length_c 28.0764
_cell_angle_alpha 90.00
_cell_angle_beta 90.00
_cell_angle_gamma 120.00
_space_group_name_H-M_alt 'R -3 m'
_space_group_IT_number 166
_space_group_name_Hall '-R 3 2"'
loop_
_atom_site_label
_atom_site_type_symbol
_atom_site_fract_x
_atom_site_fract_y
_atom_site_fract_z
Ba1 Ba 0.0000 0.0000 0.0000
Sr1 Sr 0.0000 0.0000 0.5000
H1 H 0.0000 0.0000 0.3078
H2 H 0.0220 0.5110 0.5480
Pt1 Pt 0.0000 0.0000 0.2464
```

Entry 4:
For BaReH7, a crystal structure in Alexandria, relaxed with PBE gives the theoretical PXRD pattern in this record (copper Kα).

Principal peaks in the range 2θ from 5° to 70°, by intensity:
two_theta	I (rel.)	(hkl)
25.8	100	0 2 1
30.8	58	1 2 0
28.4	31	1 0 -1
53.0	27	1 2 2
33.9	25	1 0 1
36.1	22	0 4 0
37.5	17	0 0 2
46.5	16	1 4 -1

Structure:
```
data_BaReH7
_chemical_formula_sum 'Ba2 Re2 H14'
_cell_length_a 3.6305
_cell_length_b 9.9596
_cell_length_c 4.8695
_cell_angle_alpha 90.00
_cell_angle_beta 100.32
_cell_angle_gamma 90.00
_space_group_name_H-M_alt 'P 1 21/m 1'
_space_group_IT_number 11
loop_
_space_group_symop_operation_xyz
'x,y,z'
'-x,-y,-z'
'-x,y+1/2,-z'
'x,-y+1/2,z'
loop_
_atom_site_label
_atom_site_type_symbol
_atom_site_fract_x
_atom_site_fract_y
_atom_site_fract_z
Ba1 Ba 0.0000 0.0000 0.0000
Re1 Re 0.4277 0.2500 0.5355
H1 H 0.0260 0.7500 0.3502
H2 H 0.0742 0.2500 0.2637
H3 H 0.3942 0.0838 0.6211
H4 H 0.4548 0.6480 0.7145
H5 H 0.4955 0.2500 0.8916
```